Record 1
For K2Tl3Ga, a cell relaxed with PBE gives the computed PXRD pattern in this record (Cu Kα (weighted mean of Kα1 and Kα2)).
Intensities are scaled so that the largest is 100.

Largest 10 diffraction maxima, in order of falling intensity, 2θ from 10° to 80°:
2θ 33.4, d 2.680, I 100.0, (2 2 -2)
2θ 13.0, d 6.823, I 92.7, (1 1 0)
2θ 29.8, d 3.002, I 75.5, (2 0 2)
2θ 34.0, d 2.639, I 68.3, (4 2 0)
2θ 12.3, d 7.209, I 48.6, (2 0 0)
2θ 36.1, d 2.490, I 32.5, (3 1 2)
2θ 39.0, d 2.307, I 29.5, (6 0 -2)
2θ 59.5, d 1.553, I 27.4, (2 2 4)
2θ 25.9, d 3.443, I 25.5, (1 1 -2)
2θ 47.3, d 1.922, I 24.0, (2 0 -4)

Crystal structure
Unit cell a=14.9219 b=7.7455 c=7.6869 alpha=90.00 beta=104.92 gamma=90.00
Space group C2/c (No. 15)
Inequivalent atoms, fractional coordinates:
K: 0.1629 0.9998 0.0812 x8
Tl: 0.0000 0.2442 0.2500 x4
Tl: 0.1214 0.5001 0.0611 x8
Ga: 0.0000 0.3071 0.7500 x4



Record 2
For AcGa2Cu3, a cell relaxed with PBE gives the computed PXRD pattern in this record (Cu Kα (weighted mean of Kα1 and Kα2)).
Intensities are scaled so that the largest is 100.

Largest 10 diffraction maxima, in order of falling intensity, 2θ from 10° to 80°:
2θ 37.9, d 2.377, I 100.0, (5 1 -2)
2θ 34.4, d 2.608, I 99.3, (3 1 1)
2θ 33.0, d 2.711, I 80.5, (1 1 -2)
2θ 42.9, d 2.106, I 65.5, (0 2 0)
2θ 27.9, d 3.197, I 61.3, (3 1 0)
2θ 34.2, d 2.621, I 56.2, (2 0 2)
2θ 27.5, d 3.247, I 41.6, (3 1 -1)
2θ 27.7, d 3.218, I 37.7, (4 0 -2)
2θ 36.6, d 2.456, I 32.7, (6 0 0)
2θ 45.2, d 2.007, I 32.0, (8 0 -1)

Crystal structure
Unit cell a=16.2498 b=4.2116 c=7.2546 alpha=90.00 beta=114.92 gamma=90.00
Space group C2/m (No. 12)
Inequivalent atoms, fractional coordinates:
Ac: 0.1533 0.0000 0.0760 x4
Ga: 0.0236 0.5000 0.1959 x4
Ga: 0.1809 0.0000 0.6482 x4
Cu: 0.0236 0.0000 0.3642 x4
Cu: 0.0853 0.5000 0.6368 x4
Cu: 0.1884 0.5000 0.4517 x4



Record 3
For K2PuO6, a cell relaxed with PBE gives the computed PXRD pattern in this record (Cu Kα (weighted mean of Kα1 and Kα2)).
Intensities are scaled so that the largest is 100.

Largest 10 diffraction maxima, in order of falling intensity, 2θ from 10° to 80°:
2θ 17.5, d 5.080, I 100.0, (1 1 0)
2θ 28.4, d 3.141, I 88.4, (1 3 0)
2θ 18.3, d 4.845, I 73.8, (1 1 -1)
2θ 15.7, d 5.657, I 66.7, (0 2 0)
2θ 21.9, d 4.051, I 58.8, (0 0 1)
2θ 23.6, d 3.765, I 38.9, (2 0 -1)
2θ 28.9, d 3.085, I 34.8, (1 3 -1)
2θ 33.4, d 2.681, I 29.4, (2 0 -2)
2θ 44.2, d 2.048, I 23.6, (3 3 -1)
2θ 43.5, d 2.082, I 21.9, (1 3 -2)

Crystal structure
Unit cell a=7.5439 b=11.3146 c=5.3763 alpha=90.00 beta=131.10 gamma=90.00
Space group C2/m (No. 12)
Inequivalent atoms, fractional coordinates:
K: 0.0000 0.1660 0.0000 x4
Pu: 0.0000 0.5000 0.0000 x2
O: 0.1015 0.5000 0.5254 x4
O: 0.2255 0.3808 0.1635 x8



Record 4
For Cd2CuAu7, a cell relaxed with PBE gives the computed PXRD pattern in this record (Cu Kα (weighted mean of Kα1 and Kα2)).
Intensities are scaled so that the largest is 100.

Largest 10 diffraction maxima, in order of falling intensity, 2θ from 10° to 80°:
2θ 36.0, d 2.492, I 100.0, (4 0 0)
2θ 31.1, d 2.877, I 91.5, (2 2 2)
2θ 51.9, d 1.762, I 69.8, (4 4 0)
2θ 61.7, d 1.503, I 37.6, (6 2 2)
2θ 17.8, d 4.983, I 37.1, (2 0 0)
2θ 64.8, d 1.439, I 23.5, (4 4 4)
2θ 40.5, d 2.229, I 18.9, (4 2 0)
2θ 76.5, d 1.246, I 10.9, (8 0 0)
2θ 55.3, d 1.661, I 9.7, (6 0 0)
2θ 39.4, d 2.287, I 7.3, (3 3 1)

Crystal structure
Unit cell a=9.9669 b=9.9669 c=9.9669 alpha=90.00 beta=90.00 gamma=90.00
Space group Fm-3m (No. 225)
Inequivalent atoms, fractional coordinates:
Cd: 0.2500 0.2500 0.2500 x8
Cu: 0.0000 0.0000 0.0000 x4
Au: 0.0000 0.0000 0.2398 x24
Au: 0.0000 0.0000 0.5000 x4



Record 5
For Rb2RhCBr6, a cell relaxed with PBE gives the computed PXRD pattern in this record (Cu Kα (weighted mean of Kα1 and Kα2)).
Intensities are scaled so that the largest is 100.

Largest 10 diffraction maxima, in order of falling intensity, 2θ from 10° to 80°:
2θ 29.6, d 3.020, I 100.0, (2 0 2)
2θ 36.1, d 2.490, I 62.4, (2 2 0)
2θ 47.9, d 1.899, I 46.3, (2 2 4)
2θ 30.4, d 2.936, I 43.0, (0 0 4)
2θ 60.9, d 1.521, I 23.8, (4 2 2)
2θ 14.7, d 6.041, I 22.8, (1 0 1)
2θ 61.4, d 1.510, I 21.4, (4 0 4)
2θ 51.9, d 1.761, I 21.0, (4 0 0)
2θ 29.4, d 3.043, I 16.3, (2 1 1)
2θ 23.4, d 3.799, I 13.3, (1 1 2)

Crystal structure
Unit cell a=7.0439 b=7.0439 c=11.7458 alpha=90.00 beta=90.00 gamma=90.00
Space group I4/mmm (No. 139)
Inequivalent atoms, fractional coordinates:
Rb: 0.0000 0.5000 0.2500 x4
Rh: 0.0000 0.0000 0.0000 x2
C: 0.0000 0.0000 0.5000 x2
Br: 0.0000 0.0000 0.2149 x4
Br: 0.2403 0.2403 0.5000 x8



Record 6
For Y5Ho2Sc2, a cell relaxed with PBE gives the computed PXRD pattern in this record (Cu Kα (weighted mean of Kα1 and Kα2)).
Intensities are scaled so that the largest is 100.

Largest 10 diffraction maxima, in order of falling intensity, 2θ from 10° to 80°:
2θ 32.5, d 2.753, I 100.0, (3 1 -2)
2θ 34.3, d 2.616, I 96.5, (3 1 1)
2θ 31.9, d 2.808, I 75.7, (0 0 3)
2θ 34.4, d 2.609, I 44.1, (6 0 -3)
2θ 32.7, d 2.742, I 44.0, (6 0 0)
2θ 62.2, d 1.492, I 41.4, (9 1 -5)
2θ 51.9, d 1.761, I 36.9, (9 1 -2)
2θ 29.4, d 3.037, I 33.9, (3 1 -1)
2θ 59.5, d 1.554, I 30.0, (3 1 4)
2θ 62.0, d 1.497, I 22.5, (0 2 3)

Crystal structure
Unit cell a=18.2696 b=3.5374 c=9.3523 alpha=90.00 beta=115.76 gamma=90.00
Space group C2/m (No. 12)
Inequivalent atoms, fractional coordinates:
Y: 0.0000 0.0000 0.0000 x2
Y: 0.1652 0.5000 0.9939 x4
Y: 0.1839 0.0000 0.3332 x4
Ho: 0.1419 0.0000 0.6564 x4
Sc: 0.0180 0.5000 0.3370 x4



Record 7
For LiCuTe2O8, a cell relaxed with PBE gives the computed PXRD pattern in this record (Cu Kα (weighted mean of Kα1 and Kα2)).
Intensities are scaled so that the largest is 100.

Largest 10 diffraction maxima, in order of falling intensity, 2θ from 10° to 80°:
2θ 14.8, d 5.990, I 100.0, (0 0 1)
2θ 32.0, d 2.794, I 40.0, (1 1 0)
2θ 35.4, d 2.532, I 37.4, (2 -1 1)
2θ 44.3, d 2.043, I 21.1, (2 -1 2)
2θ 23.6, d 3.765, I 18.2, (0 1 1)
2θ 59.3, d 1.558, I 12.5, (3 0 1)
2θ 57.1, d 1.613, I 12.3, (3 0 0)
2θ 49.4, d 1.846, I 11.2, (1 0 3)
2θ 40.2, d 2.244, I 9.3, (2 0 1)
2θ 69.7, d 1.349, I 8.7, (2 1 3)

Crystal structure
Unit cell a=5.5887 b=5.5887 c=5.9897 alpha=90.00 beta=90.00 gamma=120.00
Space group P-3 (No. 147)
Inequivalent atoms, fractional coordinates:
Li: 0.0000 0.0000 0.0000 x1
Cu: 0.0000 0.0000 0.5000 x1
Te: 0.3333 0.6667 0.4318 x2
O: 0.0691 0.3647 0.6388 x6
O: 0.3333 0.6667 0.1246 x2



Record 8
For Ca2Ga4Rh3, a cell relaxed with PBE gives the computed PXRD pattern in this record (Cu Kα (weighted mean of Kα1 and Kα2)).
Intensities are scaled so that the largest is 100.

Largest 10 diffraction maxima, in order of falling intensity, 2θ from 10° to 80°:
2θ 38.7, d 2.325, I 100.0, (1 3 3)
2θ 40.0, d 2.256, I 93.9, (2 2 2)
2θ 14.0, d 6.318, I 62.1, (0 0 2)
2θ 47.4, d 1.918, I 45.7, (2 2 4)
2θ 19.7, d 4.510, I 39.4, (1 1 1)
2θ 67.1, d 1.394, I 32.4, (4 0 0)
2θ 42.9, d 2.106, I 32.1, (0 0 6)
2θ 18.4, d 4.832, I 28.3, (0 2 0)
2θ 37.2, d 2.415, I 26.9, (0 4 0)
2θ 43.3, d 2.090, I 26.7, (2 0 4)

Crystal structure
Unit cell a=5.5736 b=9.6643 c=12.6355 alpha=90.00 beta=90.00 gamma=90.00
Space group Fmmm (No. 69)
Inequivalent atoms, fractional coordinates:
Ca: 0.0000 0.0000 0.1254 x8
Ga: 0.0000 0.1734 0.3423 x16
Rh: 0.0000 0.0000 0.5000 x4
Rh: 0.2500 0.2500 0.0000 x8



Record 9
For RbTl2Bi2, a cell relaxed with PBE gives the computed PXRD pattern in this record (Cu Kα (weighted mean of Kα1 and Kα2)).
Intensities are scaled so that the largest is 100.

Largest 10 diffraction maxima, in order of falling intensity, 2θ from 10° to 80°:
2θ 26.7, d 3.341, I 100.0, (1 1 1)
2θ 35.8, d 2.506, I 65.0, (1 1 -2)
2θ 33.9, d 2.641, I 42.3, (0 2 0)
2θ 26.0, d 3.427, I 41.9, (4 0 -1)
2θ 36.4, d 2.468, I 38.1, (5 1 -1)
2θ 13.9, d 6.374, I 36.8, (2 0 0)
2θ 36.3, d 2.476, I 27.3, (3 1 1)
2θ 26.9, d 3.311, I 25.8, (3 1 0)
2θ 43.2, d 2.092, I 22.4, (4 2 -1)
2θ 18.2, d 4.879, I 22.1, (1 1 0)

Crystal structure
Unit cell a=13.9946 b=5.2817 c=5.8397 alpha=90.00 beta=114.37 gamma=90.00
Space group C2/m (No. 12)
Inequivalent atoms, fractional coordinates:
Rb: 0.0000 0.0000 0.0000 x2
Tl: 0.1191 0.5000 0.5337 x4
Bi: 0.2458 0.5000 0.1628 x4



Record 10
For Cs2Pd2S3, a cell relaxed with PBE gives the computed PXRD pattern in this record (Cu Kα (weighted mean of Kα1 and Kα2)).
Intensities are scaled so that the largest is 100.

Largest 10 diffraction maxima, in order of falling intensity, 2θ from 10° to 80°:
2θ 27.9, d 3.192, I 100.0, (3 1 -1)
2θ 26.4, d 3.375, I 48.6, (1 1 1)
2θ 30.8, d 2.900, I 34.7, (4 0 -2)
2θ 23.2, d 3.834, I 29.7, (1 1 -1)
2θ 25.8, d 3.447, I 27.2, (2 0 -2)
2θ 39.1, d 2.305, I 26.4, (0 2 0)
2θ 28.1, d 3.173, I 25.2, (4 0 0)
2θ 48.8, d 1.866, I 22.0, (4 2 0)
2θ 36.3, d 2.476, I 21.0, (2 0 2)
2θ 47.8, d 1.902, I 18.7, (5 1 1)

Crystal structure
Unit cell a=13.8437 b=4.6098 c=6.9463 alpha=90.00 beta=113.53 gamma=90.00
Space group C2/m (No. 12)
Inequivalent atoms, fractional coordinates:
Cs: 0.1121 0.0000 0.2893 x4
Pd: 0.1507 0.5000 0.8173 x4
S: 0.0000 0.5000 0.5000 x2
S: 0.2036 0.0000 0.8498 x4



Record 11
For CaDy2Te4, a cell relaxed with PBE gives the computed PXRD pattern in this record (Cu Kα (weighted mean of Kα1 and Kα2)).
Intensities are scaled so that the largest is 100.

Largest 10 diffraction maxima, in order of falling intensity, 2θ from 10° to 80°:
2θ 28.3, d 3.149, I 100.0, (1 1 1)
2θ 28.9, d 3.087, I 47.5, (2 0 -2)
2θ 12.0, d 7.383, I 45.1, (0 0 1)
2θ 40.5, d 2.228, I 37.8, (1 1 -3)
2θ 41.4, d 2.182, I 35.7, (3 1 -1)
2θ 50.9, d 1.793, I 29.1, (2 2 -2)
2θ 40.0, d 2.252, I 19.3, (2 0 2)
2θ 41.0, d 2.203, I 18.5, (0 2 0)
2θ 67.0, d 1.397, I 16.8, (1 3 1)
2θ 23.7, d 3.754, I 13.5, (1 1 0)

Crystal structure
Unit cell a=7.5363 b=4.4052 c=7.7533 alpha=90.00 beta=107.78 gamma=90.00
Space group P2/m (No. 10)
Inequivalent atoms, fractional coordinates:
Ca: 0.0000 0.0000 0.0000 x1
Dy: 0.0000 0.5000 0.5000 x1
Dy: 0.5000 0.0000 0.5000 x1
Te: 0.2453 0.0000 0.7378 x2
Te: 0.2606 0.5000 0.2548 x2



- Which formula does entry 5 have?
  Rb2RhCBr6



Repeat the eleventh record exactly.
For CaDy2Te4, a cell relaxed with PBE gives the computed PXRD pattern in this record (Cu Kα (weighted mean of Kα1 and Kα2)).
Intensities are scaled so that the largest is 100.

Largest 10 diffraction maxima, in order of falling intensity, 2θ from 10° to 80°:
2θ 28.3, d 3.149, I 100.0, (1 1 1)
2θ 28.9, d 3.087, I 47.5, (2 0 -2)
2θ 12.0, d 7.383, I 45.1, (0 0 1)
2θ 40.5, d 2.228, I 37.8, (1 1 -3)
2θ 41.4, d 2.182, I 35.7, (3 1 -1)
2θ 50.9, d 1.793, I 29.1, (2 2 -2)
2θ 40.0, d 2.252, I 19.3, (2 0 2)
2θ 41.0, d 2.203, I 18.5, (0 2 0)
2θ 67.0, d 1.397, I 16.8, (1 3 1)
2θ 23.7, d 3.754, I 13.5, (1 1 0)

Crystal structure
Unit cell a=7.5363 b=4.4052 c=7.7533 alpha=90.00 beta=107.78 gamma=90.00
Space group P2/m (No. 10)
Inequivalent atoms, fractional coordinates:
Ca: 0.0000 0.0000 0.0000 x1
Dy: 0.0000 0.5000 0.5000 x1
Dy: 0.5000 0.0000 0.5000 x1
Te: 0.2453 0.0000 0.7378 x2
Te: 0.2606 0.5000 0.2548 x2